(1)
For AcTlAg2, DFT lattice parameters and positions (PBE) gives the computed XRD peak list in this record (Cu Kα X-rays).
Neutral-atom scattering factors, no anomalous dispersion.

Structural model:
```
data_AcTlAg2
_chemical_formula_sum 'Ac4 Tl4 Ag8'
_symmetry_space_group_name_H-M 'F m -3 m'
_symmetry_Int_Tables_number 225
_symmetry_space_group_name_Hall '-F 4 2 3'
_cell_length_a 7.5093
_cell_length_b 7.5093
_cell_length_c 7.5093
_cell_angle_alpha 90.00
_cell_angle_beta 90.00
_cell_angle_gamma 90.00
loop_
_atom_site_label
_atom_site_fract_x
_atom_site_fract_y
_atom_site_fract_z
_atom_site_occupancy
Ac1 0.0000 0.0000 0.0000 1
Tl1 0.0000 0.0000 0.5000 1
Ag1 0.2500 0.2500 0.2500 1
```

Top 6 peaks for 2θ = 10–90°, by angle:
Position (°2θ)  I (rel.)
23.70  11
33.76  100
48.49  18
60.39  37
71.01  12
80.98  16

(2)
For Ca3Sb2O7, DFT lattice parameters and positions (PBE) gives the computed XRD peak list in this record (Cu Kα X-rays).
Neutral-atom scattering factors, no anomalous dispersion.

Structural model:
```
data_Ca3Sb2O7
_chemical_formula_sum 'Ca12 Sb8 O28'
_symmetry_space_group_name_H-M 'C m c 21'
_symmetry_Int_Tables_number 36
_cell_length_a 20.0419
_cell_length_b 5.7401
_cell_length_c 5.9465
_cell_angle_alpha 90.00
_cell_angle_beta 90.00
_cell_angle_gamma 90.00
loop_
_symmetry_equiv_pos_as_xyz
'x,y,z'
'-x,-y,z+1/2'
'-x,y,z'
'x,-y,z+1/2'
'x+1/2,y+1/2,z'
'-x+1/2,-y+1/2,z+1/2'
'-x+1/2,y+1/2,z'
'x+1/2,-y+1/2,z+1/2'
loop_
_atom_site_label
_atom_site_fract_x
_atom_site_fract_y
_atom_site_fract_z
_atom_site_occupancy
Ca1 0.0000 0.2307 0.0000 1
Ca2 0.1932 0.2379 0.1176 1
Sb1 0.1028 0.2542 0.5569 1
O1 0.0000 0.3770 0.6141 1
O2 0.0797 0.0503 0.2517 1
O3 0.1291 0.4477 0.8489 1
O4 0.2019 0.1477 0.5105 1
```

Top 6 peaks for 2θ = 10–90°, by angle:
Position (°2θ)  I (rel.)
17.70  23
21.97  37
30.06  23
31.11  100
43.84  22
55.41  21

(3)
For CsPbBr3, DFT lattice parameters and positions (PBE) gives the computed XRD peak list in this record (Cu Kα X-rays).
Neutral-atom scattering factors, no anomalous dispersion.

Structural model:
```
data_CsPbBr3
_chemical_formula_sum 'Cs4 Pb4 Br12'
_symmetry_space_group_name_H-M 'P n m a'
_symmetry_Int_Tables_number 62
_cell_length_a 8.4253
_cell_length_b 12.0113
_cell_length_c 8.3704
_cell_angle_alpha 90.00
_cell_angle_beta 90.00
_cell_angle_gamma 90.00
loop_
_symmetry_equiv_pos_as_xyz
'x,y,z'
'-x,-y,-z'
'-x+1/2,-y,z+1/2'
'x+1/2,y,-z+1/2'
'x+1/2,-y+1/2,-z+1/2'
'-x+1/2,y+1/2,z+1/2'
'-x,y+1/2,-z'
'x,-y+1/2,z'
loop_
_atom_site_label
_atom_site_fract_x
_atom_site_fract_y
_atom_site_fract_z
_atom_site_occupancy
Cs1 0.0318 0.2500 0.0083 1
Pb1 0.0000 0.0000 0.5000 1
Br1 0.0063 0.7500 0.4518 1
Br2 0.2054 0.5257 0.7948 1
```

Top 6 peaks for 2θ = 10–90°, by angle:
Position (°2θ)  I (rel.)
14.92  29
21.05  100
29.75  43
30.10  72
37.10  31
42.83  50

(4)
For NaO, DFT lattice parameters and positions (PBE) gives the computed XRD peak list in this record (Cu Kα X-rays).
Neutral-atom scattering factors, no anomalous dispersion.

Structural model:
```
data_NaO
_chemical_formula_sum 'Na2 O2'
_symmetry_space_group_name_H-M 'C 1 2/m 1'
_symmetry_Int_Tables_number 12
_cell_length_a 4.4826
_cell_length_b 3.8531
_cell_length_c 2.9699
_cell_angle_alpha 90.00
_cell_angle_beta 101.49
_cell_angle_gamma 90.00
loop_
_symmetry_equiv_pos_as_xyz
'x,y,z'
'-x,-y,-z'
'-x,y,-z'
'x,-y,z'
'x+1/2,y+1/2,z'
'-x+1/2,-y+1/2,-z'
'-x+1/2,y+1/2,-z'
'x+1/2,-y+1/2,z'
loop_
_atom_site_label
_atom_site_fract_x
_atom_site_fract_y
_atom_site_fract_z
_atom_site_occupancy
Na1 0.0000 0.0000 0.0000 1
O1 0.0000 0.5000 0.5000 1
```

Top 6 peaks for 2θ = 10–90°, by angle:
Position (°2θ)  I (rel.)
40.97  100
41.10  50
47.11  94
64.32  20
70.35  15
83.43  16

(5)
For SnCI3N, DFT lattice parameters and positions (PBE) gives the computed XRD peak list in this record (Cu Kα X-rays).
Neutral-atom scattering factors, no anomalous dispersion.

Structural model:
```
data_SnCI3N
_chemical_formula_sum 'Sn1 C1 I3 N1'
_symmetry_space_group_name_H-M 'P 4 m m'
_symmetry_Int_Tables_number 99
_cell_length_a 6.0025
_cell_length_b 6.0025
_cell_length_c 5.9261
_cell_angle_alpha 90.00
_cell_angle_beta 90.00
_cell_angle_gamma 90.00
loop_
_symmetry_equiv_pos_as_xyz
'x,y,z'
'-y,x,z'
'-x,-y,z'
'y,-x,z'
'-x,y,z'
'y,x,z'
'x,-y,z'
'-y,-x,z'
loop_
_atom_site_label
_atom_site_fract_x
_atom_site_fract_y
_atom_site_fract_z
_atom_site_occupancy
Sn1 0.0000 0.0000 0.0000 1
C1 0.5000 0.5000 0.3581 1
I1 0.0000 0.0000 0.5118 1
I2 0.0000 0.5000 0.0127 1
N1 0.5000 0.5000 0.5572 1
```

Top 6 peaks for 2θ = 10–90°, by angle:
Position (°2θ)  I (rel.)
14.76  92
14.95  47
25.82  81
29.77  100
33.42  54
42.89  68

(6)
For Ca2SiO4, DFT lattice parameters and positions (PBE) gives the computed XRD peak list in this record (Cu Kα X-rays).
Neutral-atom scattering factors, no anomalous dispersion.

Structural model:
```
data_Ca2SiO4
_chemical_formula_sum 'Ca8 Si4 O16'
_symmetry_space_group_name_H-M 'C 1 2 1'
_symmetry_Int_Tables_number 5
_cell_length_a 10.1879
_cell_length_b 5.3882
_cell_length_c 6.8826
_cell_angle_alpha 90.00
_cell_angle_beta 93.83
_cell_angle_gamma 90.00
loop_
_symmetry_equiv_pos_as_xyz
'x,y,z'
'-x,y,-z'
'x+1/2,y+1/2,z'
'-x+1/2,y+1/2,-z'
loop_
_atom_site_label
_atom_site_fract_x
_atom_site_fract_y
_atom_site_fract_z
_atom_site_occupancy
Ca1 0.0000 0.0000 0.0000 1
Ca2 0.0000 0.0753 0.5000 1
Ca3 0.1768 0.4792 0.1791 1
Si1 0.1659 0.5176 0.7061 1
O1 0.0888 0.3300 0.8516 1
O2 0.1154 0.8037 0.7513 1
O3 0.1402 0.4240 0.4836 1
O4 0.1757 0.0008 0.2180 1
```

Top 6 peaks for 2θ = 10–90°, by angle:
Position (°2θ)  I (rel.)
30.43  48
31.18  100
32.63  52
33.25  47
45.69  44
45.82  25

(7)
For Tl4Sn5S12, DFT lattice parameters and positions (PBE) gives the computed XRD peak list in this record (Cu Kα X-rays).
Neutral-atom scattering factors, no anomalous dispersion.

Structural model:
```
data_Tl4Sn5S12
_chemical_formula_sum 'Tl8 Sn10 S24'
_symmetry_space_group_name_H-M 'P -1'
_symmetry_Int_Tables_number 2
_cell_length_a 7.5040
_cell_length_b 9.8748
_cell_length_c 17.3679
_cell_angle_alpha 105.00
_cell_angle_beta 90.12
_cell_angle_gamma 111.92
loop_
_symmetry_equiv_pos_as_xyz
'x,y,z'
'-x,-y,-z'
loop_
_atom_site_label
_atom_site_fract_x
_atom_site_fract_y
_atom_site_fract_z
_atom_site_occupancy
Tl1 0.0826 0.4598 0.3873 1
Tl2 0.1246 0.6606 0.8568 1
Tl3 0.1874 0.9404 0.2980 1
Tl4 0.3986 0.3921 0.1453 1
Sn1 0.1831 0.9919 0.5825 1
Sn2 0.1876 0.1798 0.9475 1
Sn3 0.3153 0.8228 0.0579 1
Sn4 0.3845 0.3018 0.7300 1
Sn5 0.4822 0.2737 0.4028 1
S1 0.0284 0.8458 0.4781 1
S2 0.0300 0.3381 0.9831 1
S3 0.1626 0.9938 0.0920 1
S4 0.1696 0.2295 0.3272 1
S5 0.1934 0.3605 0.8033 1
S6 0.2305 0.0411 0.7215 1
S7 0.2895 0.6458 0.2019 1
S8 0.3104 0.7688 0.6707 1
S9 0.3296 0.0056 0.9124 1
S10 0.3820 0.4588 0.5927 1
S11 0.4619 0.6716 0.0080 1
S12 0.4879 0.8380 0.4544 1
```

Top 6 peaks for 2θ = 10–90°, by angle:
Position (°2θ)  I (rel.)
16.31  53
19.38  72
22.05  39
25.78  100
26.07  80
29.00  64

(8)
For YSeCl, DFT lattice parameters and positions (PBE) gives the computed XRD peak list in this record (Cu Kα X-rays).
Neutral-atom scattering factors, no anomalous dispersion.

Structural model:
```
data_YSeCl
_chemical_formula_sum 'Y4 Se4 Cl4'
_symmetry_space_group_name_H-M 'F -4 3 m'
_symmetry_Int_Tables_number 216
_symmetry_space_group_name_Hall 'F -4 2 3'
_cell_length_a 6.8697
_cell_length_b 6.8697
_cell_length_c 6.8697
_cell_angle_alpha 90.00
_cell_angle_beta 90.00
_cell_angle_gamma 90.00
loop_
_atom_site_label
_atom_site_fract_x
_atom_site_fract_y
_atom_site_fract_z
_atom_site_occupancy
Y1 0.0000 0.0000 0.0000 1
Se1 0.2500 0.2500 0.2500 1
Cl1 0.0000 0.0000 0.5000 1
```

Top 6 peaks for 2θ = 10–90°, by angle:
Position (°2θ)  I (rel.)
22.42  54
37.01  100
43.70  28
53.34  17
58.57  12
66.70  33

(9)
For Eu2TiInO6, DFT lattice parameters and positions (PBE) gives the computed XRD peak list in this record (Cu Kα X-rays).
Neutral-atom scattering factors, no anomalous dispersion.

Structural model:
```
data_Eu2TiInO6
_chemical_formula_sum 'Eu8 Ti4 In4 O24'
_symmetry_space_group_name_H-M 'F m -3 m'
_symmetry_Int_Tables_number 225
_symmetry_space_group_name_Hall '-F 4 2 3'
_cell_length_a 8.1003
_cell_length_b 8.1003
_cell_length_c 8.1003
_cell_angle_alpha 90.00
_cell_angle_beta 90.00
_cell_angle_gamma 90.00
loop_
_atom_site_label
_atom_site_fract_x
_atom_site_fract_y
_atom_site_fract_z
_atom_site_occupancy
Eu1 0.2500 0.2500 0.2500 1
Ti1 0.0000 0.0000 0.0000 1
In1 0.0000 0.0000 0.5000 1
O1 0.0000 0.0000 0.2397 1
```

Top 6 peaks for 2θ = 10–90°, by angle:
Position (°2θ)  I (rel.)
31.23  100
38.50  11
44.75  30
55.58  39
65.15  18
74.01  17

(10)
For PmS3, DFT lattice parameters and positions (PBE) gives the computed XRD peak list in this record (Cu Kα X-rays).
Neutral-atom scattering factors, no anomalous dispersion.

Structural model:
```
data_PmS3
_chemical_formula_sum 'Pm2 S6'
_symmetry_space_group_name_H-M 'P 63/m m c'
_symmetry_Int_Tables_number 194
_symmetry_space_group_name_Hall '-P 6c 2c'
_cell_length_a 5.7175
_cell_length_b 5.7175
_cell_length_c 5.6752
_cell_angle_alpha 90.00
_cell_angle_beta 90.00
_cell_angle_gamma 120.00
loop_
_atom_site_label
_atom_site_fract_x
_atom_site_fract_y
_atom_site_fract_z
_atom_site_occupancy
Pm1 0.3333 0.6667 0.2500 1
S1 0.1759 0.3518 0.7500 1
```

Top 6 peaks for 2θ = 10–90°, by angle:
Position (°2θ)  I (rel.)
17.91  33
23.85  74
31.29  28
31.53  44
39.72  100
61.71  26